VSi: simulated XRD peak list (a wavelength of 1.5418 Å), based on DFT lattice parameters and positions (PBE).

Principal peaks in the range 5 to 70 degrees two-theta, sorted by position:
| two_theta | d/Å | I/Imax | index |
| --- | --- | --- | --- |
| 20.77 | 4.277 | 13 | 0 1 1 |
| 37.40 | 2.404 | 81 | 1 1 0 |
| 39.40 | 2.287 | 37 | 0 1 3 |
| 42.26 | 2.139 | 100 | 0 2 2 |
| 44.50 | 2.036 | 54 | 1 1 2 |
| 47.51 | 1.914 | 20 | 0 0 4 |
| 48.97 | 1.860 | 51 | 1 0 3 |
| 50.21 | 1.817 | 39 | 1 2 1 |
| 63.38 | 1.468 | 11 | 0 1 5 |
| 69.15 | 1.358 | 35 | 2 0 0 |

Crystal structure
Unit cell a=2.7175 b=5.1576 c=7.6544 alpha=90.00 beta=90.00 gamma=90.00
Space group Immm (No. 71)
One atom of each set of equivalent atoms:
V1 0.0000 0.0000 0.2080 x4
Si1 0.0000 0.2320 0.5000 x4

=====

V3Si23: simulated XRD peak list (a wavelength of 1.5418 Å), based on DFT lattice parameters and positions (PBE).

Principal peaks in the range 5 to 70 degrees two-theta, sorted by position:
| two_theta | d/Å | I/Imax | index |
| --- | --- | --- | --- |
| 27.84 | 3.204 | 13 | 3 1 0 |
| 30.56 | 2.925 | 68 | 2 2 2 |
| 31.84 | 2.810 | 61 | 3 2 0 |
| 33.08 | 2.708 | 100 | 3 2 1 |
| 35.44 | 2.533 | 15 | 4 0 0 |
| 36.57 | 2.457 | 22 | 4 1 0 |
| 52.68 | 1.738 | 73 | 5 3 0 |
| 53.51 | 1.713 | 18 | 5 3 1 |
| 54.33 | 1.689 | 21 | 6 0 0 |
| 55.94 | 1.644 | 44 | 5 3 2 |

Crystal structure
Unit cell a=10.1321 b=10.1321 c=10.1321 alpha=90.00 beta=90.00 gamma=90.00
Space group Pm-3n (No. 223)
One atom of each set of equivalent atoms:
V1 0.0000 0.2500 0.5000 x6
Si1 0.0000 0.3105 0.1162 x24
Si2 0.0000 0.5000 0.2500 x6
Si3 0.1841 0.1841 0.1841 x16

=====

VSi23: simulated XRD peak list (a wavelength of 1.5418 Å), based on DFT lattice parameters and positions (PBE).

Principal peaks in the range 5 to 70 degrees two-theta, sorted by position:
| two_theta | d/Å | I/Imax | index |
| --- | --- | --- | --- |
| 12.27 | 7.214 | 50 | 1 1 0 |
| 19.46 | 4.562 | 63 | 2 1 0 |
| 32.85 | 2.727 | 100 | 3 2 1 |
| 36.31 | 2.474 | 22 | 4 1 0 |
| 37.40 | 2.405 | 23 | 3 3 0 |
| 40.52 | 2.226 | 20 | 4 2 1 |
| 52.29 | 1.750 | 36 | 5 3 0 |
| 53.11 | 1.724 | 18 | 5 3 1 |
| 53.92 | 1.700 | 21 | 6 0 0 |
| 55.53 | 1.655 | 44 | 5 3 2 |

Crystal structure
Unit cell a=10.2018 b=10.2018 c=10.2018 alpha=90.00 beta=90.00 gamma=90.00
Space group Pm-3n (No. 223)
One atom of each set of equivalent atoms:
V1 0.0000 0.0000 0.0000 x2
Si1 0.0000 0.1165 0.3080 x24
Si2 0.0000 0.2500 0.5000 x6
Si3 0.1821 0.1821 0.1821 x16

=====

V8Si: simulated XRD peak list (a wavelength of 1.5418 Å), based on DFT lattice parameters and positions (PBE).

Principal peaks in the range 5 to 70 degrees two-theta, sorted by position:
| two_theta | d/Å | I/Imax | index |
| --- | --- | --- | --- |
| 23.95 | 3.715 | 1 | 1 0 1 |
| 33.62 | 2.666 | 1 | 2 2 0 |
| 33.88 | 2.646 | 2 | 2 1 1 |
| 41.70 | 2.166 | 100 | 3 0 1 |
| 42.34 | 2.135 | 24 | 0 0 2 |
| 51.42 | 1.777 | 25 | 3 3 0 |
| 68.73 | 1.366 | 20 | 3 3 2 |

Crystal structure
Unit cell a=7.5395 b=7.5395 c=4.2695 alpha=90.00 beta=90.00 gamma=90.00
Space group I4/mmm (No. 139)
One atom of each set of equivalent atoms:
V1 0.0000 0.3282 0.0000 x8
V2 0.1618 0.1618 0.5000 x8
Si1 0.0000 0.0000 0.0000 x2

=====

VSi6W2: simulated XRD peak list (a wavelength of 1.5418 Å), based on DFT lattice parameters and positions (PBE).

Principal peaks in the range 5 to 70 degrees two-theta, sorted by position:
| two_theta | d/Å | I/Imax | index |
| --- | --- | --- | --- |
| 13.64 | 6.493 | 20 | 0 0 1 |
| 22.16 | 4.012 | 32 | 0 2 0 |
| 26.15 | 3.407 | 100 | 1 1 1 |
| 35.61 | 2.521 | 46 | 1 1 2 |
| 39.03 | 2.308 | 14 | 2 0 0 |
| 41.42 | 2.180 | 63 | 1 3 1 |
| 41.53 | 2.174 | 20 | 2 0 1 |
| 41.74 | 2.164 | 29 | 0 0 3 |
| 45.34 | 2.000 | 15 | 2 2 0 |
| 48.32 | 1.884 | 53 | 1 3 2 |

Crystal structure
Unit cell a=4.6153 b=8.0242 c=6.4927 alpha=90.00 beta=90.00 gamma=90.00
Space group C222 (No. 21)
One atom of each set of equivalent atoms:
V1 0.0000 0.0000 0.0000 x2
Si1 0.0000 0.3399 0.0000 x4
Si2 0.2475 0.4198 0.3281 x8
W1 0.2500 0.2500 0.6662 x4

=====

V4Si2W3: simulated XRD peak list (a wavelength of 1.5418 Å), based on DFT lattice parameters and positions (PBE).

Principal peaks in the range 5 to 70 degrees two-theta, sorted by position:
| two_theta | d/Å | I/Imax | index |
| --- | --- | --- | --- |
| 20.53 | 4.326 | 69 | 2 0 0 |
| 27.78 | 3.212 | 68 | 1 1 1 |
| 33.76 | 2.655 | 37 | 1 1 -2 |
| 40.92 | 2.206 | 65 | 0 0 3 |
| 41.53 | 2.174 | 66 | 0 2 0 |
| 42.11 | 2.146 | 100 | 3 1 -2 |
| 42.35 | 2.134 | 99 | 3 1 1 |
| 46.75 | 1.943 | 17 | 2 2 0 |
| 59.71 | 1.549 | 42 | 0 2 3 |
| 62.77 | 1.480 | 15 | 6 0 -1 |

Crystal structure
Unit cell a=8.8816 b=4.3494 c=6.7896 alpha=90.00 beta=103.03 gamma=90.00
Space group C2/m (No. 12)
One atom of each set of equivalent atoms:
V1 0.1046 0.0000 0.1687 x4
V2 0.1699 0.5000 0.5140 x4
Si1 0.2269 0.0000 0.8119 x4
W1 0.0000 0.0000 0.5000 x2
W2 0.0557 0.5000 0.8342 x4